Record 1
The following is a theoretical powder diffraction line list of Se2SO6. It was derived from a DFT-relaxed cell (GGA-PBE, Alexandria), using Cu Kα, 1.54184 Å.
Kinematic intensities with the Lorentz-polarization factor, no thermal factor.

Atomic structure:
```
Se2SO6
1.0
4.5751 0.0000 0.0000
0.0000 4.5277 0.0000
-2.9617 0.0000 18.0981
Se S O
4 2 12
Direct
0.0000 0.0819 0.0000
0.0000 0.9181 0.5000
0.1370 0.4171 0.6288
0.1370 0.5829 0.1288
0.5579 0.3838 0.3213
0.5579 0.6162 0.8213
0.0651 0.1958 0.0996
0.0651 0.8042 0.5996
0.0865 0.3041 0.5297
0.0865 0.6959 0.0297
0.4545 0.0987 0.2917
0.4545 0.9013 0.7917
0.4943 0.4097 0.6563
0.4943 0.5903 0.1563
0.6409 0.0860 0.9775
0.6409 0.9140 0.4775
0.8699 0.4096 0.3532
0.8699 0.5904 0.8532
```

Main lines, most intense first (10 to 90 degrees two-theta):
| 2θ/deg | d/Å | I (rel.) |
| --- | --- | --- |
| 20.52 | 4.329 | 100 |
| 27.88 | 3.200 | 58 |
| 21.95 | 4.049 | 39 |
| 19.65 | 4.518 | 30 |
| 24.58 | 3.621 | 29 |
| 29.62 | 3.016 | 26 |
| 30.71 | 2.912 | 22 |
| 40.14 | 2.246 | 20 |
| 41.68 | 2.167 | 19 |
| 32.39 | 2.764 | 15 |

---

Record 2
The following is a theoretical powder diffraction line list of SrIn. It was derived from a DFT-relaxed cell (GGA-PBE, Alexandria), using Cu Kα, 1.54184 Å.
Kinematic intensities with the Lorentz-polarization factor, no thermal factor.

Atomic structure:
```
SrIn
1.0
14.7911 0.0000 0.0000
0.0000 4.7603 0.0000
-3.3326 0.0000 6.1808
Sr In
6 6
Direct
0.0000 0.0000 0.0000
0.1041 0.5000 0.6041
0.3020 0.0000 0.5302
0.5000 0.5000 0.0000
0.6041 0.0000 0.6041
0.8020 0.5000 0.5302
0.1865 0.5000 0.1474
0.3025 0.0000 0.0309
0.4178 0.5000 0.3792
0.6865 0.0000 0.1474
0.8025 0.5000 0.0309
0.9178 0.0000 0.3792
```

Main lines, most intense first (10 to 90 degrees two-theta):
| 2θ/deg | d/Å | I (rel.) |
| --- | --- | --- |
| 32.42 | 2.761 | 100 |
| 27.82 | 3.207 | 95 |
| 28.89 | 3.090 | 37 |
| 37.80 | 2.380 | 33 |
| 14.33 | 6.180 | 32 |
| 35.78 | 2.509 | 31 |
| 36.81 | 2.441 | 28 |
| 26.44 | 3.371 | 27 |
| 37.69 | 2.387 | 27 |
| 60.08 | 1.540 | 18 |

---

Record 3
The following is a theoretical powder diffraction line list of BaBiPd. It was derived from a DFT-relaxed cell (GGA-PBE, Alexandria), using Cu Kα, 1.54184 Å.
Kinematic intensities with the Lorentz-polarization factor, no thermal factor.

Atomic structure:
```
BaBiPd
1.0
5.0778 -5.9052 0.0000
5.0778 5.9052 0.0000
-0.0907 0.0000 6.3863
Ba Bi Pd
4 4 4
Direct
0.1212 0.8788 0.5000
0.2704 0.5574 0.0031
0.5574 0.2704 0.5031
0.8788 0.1212 0.0000
0.0515 0.3577 0.5074
0.3577 0.0515 0.0074
0.6336 0.8115 0.3518
0.8115 0.6336 0.8518
0.3547 0.5902 0.4966
0.5580 0.8502 0.7799
0.5902 0.3547 0.9966
0.8502 0.5580 0.2799
```

Main lines, most intense first (10 to 90 degrees two-theta):
| 2θ/deg | d/Å | I (rel.) |
| --- | --- | --- |
| 30.25 | 2.955 | 100 |
| 27.17 | 3.282 | 67 |
| 35.36 | 2.539 | 49 |
| 26.91 | 3.313 | 49 |
| 27.94 | 3.193 | 40 |
| 30.42 | 2.938 | 37 |
| 30.67 | 2.915 | 29 |
| 47.22 | 1.925 | 28 |
| 41.67 | 2.168 | 27 |
| 11.49 | 7.700 | 24 |